Calculated powder diffraction line list
Compound: PrScAl6
Radiation: a wavelength of 1.5418 Å
Structure: a structure optimized by DFT (GGA-PBE)
Peak positions follow from Bragg's law for the DFT cell and can differ from measured ones.

Cell and atoms:
```
data_PrScAl6
_cell_length_a 6.2735
_cell_length_b 6.2735
_cell_length_c 4.5946
_cell_angle_alpha 90.00
_cell_angle_beta 90.00
_cell_angle_gamma 120.00
_space_group_name_H-M_alt 'P -6 m 2'
_space_group_IT_number 187
_space_group_name_Hall 'P -6 2'
loop_
_atom_site_label
_atom_site_fract_x
_atom_site_fract_y
_atom_site_fract_z
Pr1 0.0000 0.0000 0.0000
Sc1 0.6667 0.3333 0.5000
Al1 0.0285 0.5142 0.0000
Al2 0.1896 0.3792 0.5000
```

Most intense lines, 2θ = 5–70°, in order of rising 2θ:
2θ (°)  I/Imax  index
16.3  38  1 0 0
25.4  64  1 0 1
28.5  25  1 1 0
33.0  31  2 0 0
34.6  13  1 1 1
38.5  100  2 0 1
39.2  22  0 0 2
44.1  15  2 1 0
48.6  12  2 1 1
52.1  17  2 0 2
58.9  16  2 2 0
60.5  12  2 1 2